Record 1
Computed powder diffractogram
Compound: VH7N2O5
Radiation: CuKα
Structure: the GGA+U geometry in the Materials Project
Peak positions follow from Bragg's law for the DFT cell and can differ from measured ones.

Peak list (10 most intense, 15 to 90 degrees two-theta, in order of rising 2θ)
15.93°, 5.564 Å, intensity 100
18.77°, 4.727 Å, intensity 52
20.81°, 4.269 Å, intensity 42
22.86°, 3.891 Å, intensity 8
26.31°, 3.387 Å, intensity 51
28.16°, 3.168 Å, intensity 31
33.89°, 2.645 Å, intensity 25
34.81°, 2.578 Å, intensity 12
36.86°, 2.438 Å, intensity 8
43.46°, 2.082 Å, intensity 10

Crystal structure
```
VH7N2O5
1.0
8.539 0.000 0.000
0.000 6.882 0.000
0.000 0.000 9.454
V H N O
4 28 8 20
Direct
0.233 0.250 0.226 V
0.267 0.750 0.726 V
0.733 0.250 0.274 V
0.767 0.750 0.774 V
0.013 0.750 0.944 H
0.014 0.129 0.661 H
0.014 0.371 0.661 H
0.064 0.250 0.512 H
0.133 0.130 0.974 H
0.133 0.370 0.974 H
0.186 0.250 0.654 H
0.314 0.750 0.154 H
0.367 0.630 0.474 H
0.367 0.870 0.474 H
0.436 0.750 0.012 H
0.486 0.629 0.161 H
0.486 0.871 0.161 H
0.487 0.250 0.444 H
0.513 0.750 0.556 H
0.514 0.129 0.839 H
0.514 0.371 0.839 H
0.564 0.250 0.988 H
0.633 0.130 0.526 H
0.633 0.370 0.526 H
0.686 0.250 0.846 H
0.814 0.750 0.346 H
0.867 0.630 0.026 H
0.867 0.870 0.026 H
0.936 0.750 0.488 H
0.986 0.629 0.339 H
0.986 0.871 0.339 H
0.987 0.250 0.056 H
0.071 0.250 0.621 N
0.104 0.250 0.034 N
0.396 0.750 0.534 N
0.429 0.750 0.121 N
0.571 0.250 0.879 N
0.604 0.250 0.466 N
0.896 0.750 0.966 N
0.929 0.750 0.379 N
0.091 0.750 0.656 O
0.164 0.514 0.237 O
0.164 0.986 0.237 O
0.236 0.055 0.369 O
0.236 0.445 0.369 O
0.264 0.555 0.869 O
0.264 0.945 0.869 O
0.336 0.014 0.737 O
0.336 0.486 0.737 O
0.409 0.250 0.156 O
0.591 0.750 0.844 O
0.664 0.514 0.263 O
0.664 0.986 0.263 O
0.736 0.055 0.131 O
0.736 0.445 0.131 O
0.764 0.555 0.631 O
0.764 0.945 0.631 O
0.836 0.014 0.763 O
0.836 0.486 0.763 O
0.909 0.250 0.344 O
```

Record 2
Computed powder diffractogram
Compound: Li2NiBO4
Radiation: CuKα
Structure: the GGA+U geometry in the Materials Project
Peak positions follow from Bragg's law for the DFT cell and can differ from measured ones.

Peak list (10 most intense, 15 to 90 degrees two-theta, in order of rising 2θ)
17.00°, 5.216 Å, intensity 55
25.36°, 3.513 Å, intensity 100
25.80°, 3.454 Å, intensity 29
30.42°, 2.938 Å, intensity 43
34.39°, 2.608 Å, intensity 37
35.71°, 2.514 Å, intensity 25
37.87°, 2.376 Å, intensity 36
39.41°, 2.286 Å, intensity 30
49.33°, 1.847 Å, intensity 18
63.30°, 1.469 Å, intensity 17

Crystal structure
```
Li2NiBO4
1.0
10.058 0.000 0.000
0.000 6.101 0.000
0.000 0.000 4.752
Li Ni B O
8 4 4 16
Direct
0.077 0.239 0.000 Li
0.160 0.994 0.503 Li
0.340 0.494 0.003 Li
0.423 0.739 0.500 Li
0.577 0.261 0.000 Li
0.660 0.506 0.503 Li
0.840 0.006 0.003 Li
0.923 0.761 0.500 Li
0.162 0.484 0.506 Ni
0.338 0.984 0.006 Ni
0.662 0.016 0.506 Ni
0.838 0.516 0.006 Ni
0.091 0.739 0.010 B
0.409 0.239 0.510 B
0.591 0.761 0.010 B
0.909 0.261 0.510 B
0.051 0.249 0.419 O
0.100 0.732 0.323 O
0.156 0.539 0.896 O
0.159 0.944 0.911 O
0.341 0.444 0.411 O
0.344 0.039 0.396 O
0.400 0.232 0.823 O
0.449 0.749 0.919 O
0.551 0.251 0.419 O
0.600 0.768 0.323 O
0.656 0.961 0.896 O
0.659 0.556 0.911 O
0.841 0.056 0.411 O
0.844 0.461 0.396 O
0.900 0.268 0.823 O
0.949 0.751 0.919 O
```

Record 3
Computed powder diffractogram
Compound: Li4Cr5Fe3O16
Radiation: CuKα
Structure: the GGA+U geometry in the Materials Project
Peak positions follow from Bragg's law for the DFT cell and can differ from measured ones.

Peak list (10 most intense, 15 to 90 degrees two-theta, in order of rising 2θ)
18.65°, 4.758 Å, intensity 100
19.57°, 4.536 Å, intensity 29
19.69°, 4.509 Å, intensity 54
19.86°, 4.470 Å, intensity 70
35.58°, 2.523 Å, intensity 29
36.61°, 2.454 Å, intensity 39
40.35°, 2.235 Å, intensity 33
45.46°, 1.995 Å, intensity 34
45.91°, 1.977 Å, intensity 30
63.12°, 1.473 Å, intensity 41

Crystal structure
```
Li4Cr5Fe3O16
1.0
5.107 -2.938 0.000
5.107 2.938 0.000
-0.182 0.000 9.516
Li Cr Fe O
4 5 3 16
Direct
0.000 0.000 0.000 Li
0.000 0.000 0.499 Li
0.331 0.331 0.602 Li
0.666 0.666 0.100 Li
0.169 0.663 0.285 Cr
0.330 0.330 0.010 Cr
0.663 0.169 0.285 Cr
0.663 0.663 0.513 Cr
0.831 0.831 0.788 Cr
0.171 0.171 0.278 Fe
0.338 0.831 0.781 Fe
0.831 0.338 0.781 Fe
0.039 0.490 0.155 O
0.153 0.667 0.893 O
0.163 0.163 0.897 O
0.328 0.822 0.392 O
0.334 0.334 0.393 O
0.477 0.477 0.161 O
0.490 0.039 0.155 O
0.518 0.518 0.652 O
0.529 0.958 0.656 O
0.667 0.153 0.893 O
0.667 0.667 0.893 O
0.822 0.328 0.392 O
0.834 0.834 0.387 O
0.958 0.529 0.656 O
0.996 0.996 0.685 O
0.997 0.997 0.186 O
```

Record 4
Computed powder diffractogram
Compound: Li4Co3SnP4O16
Radiation: CuKα
Structure: the GGA+U geometry in the Materials Project
Peak positions follow from Bragg's law for the DFT cell and can differ from measured ones.

Peak list (10 most intense, 15 to 90 degrees two-theta, in order of rising 2θ)
16.53°, 5.362 Å, intensity 71
20.02°, 4.435 Å, intensity 44
20.35°, 4.365 Å, intensity 38
24.87°, 3.580 Å, intensity 100
25.13°, 3.544 Å, intensity 98
29.46°, 3.032 Å, intensity 100
34.25°, 2.618 Å, intensity 82
34.86°, 2.574 Å, intensity 86
36.65°, 2.452 Å, intensity 44
51.59°, 1.772 Å, intensity 40

Crystal structure
```
Li4Co3SnP4O16
1.0
4.825 0.000 0.000
0.000 6.065 0.000
-0.230 0.000 10.725
Li Co Sn P O
4 3 1 4 16
Direct
0.000 0.246 0.000 Li
0.000 0.754 0.000 Li
0.498 0.248 0.528 Li
0.498 0.752 0.528 Li
0.018 0.500 0.304 Co
0.481 0.500 0.790 Co
0.971 0.000 0.729 Co
0.510 0.000 0.231 Sn
0.067 0.000 0.441 P
0.413 0.000 0.903 P
0.622 0.500 0.101 P
0.916 0.500 0.613 P
0.180 0.208 0.370 O
0.180 0.792 0.370 O
0.216 0.000 0.571 O
0.235 0.500 0.616 O
0.281 0.000 0.035 O
0.281 0.205 0.835 O
0.281 0.795 0.835 O
0.308 0.500 0.119 O
0.709 0.500 0.962 O
0.731 0.000 0.907 O
0.750 0.000 0.450 O
0.779 0.301 0.166 O
0.779 0.699 0.166 O
0.783 0.298 0.683 O
0.783 0.702 0.683 O
0.786 0.500 0.479 O
```

Record 5
Computed powder diffractogram
Compound: MgV2Zn4O8
Radiation: CuKα
Structure: the GGA+U geometry in the Materials Project
Peak positions follow from Bragg's law for the DFT cell and can differ from measured ones.

Peak list (10 most intense, 15 to 90 degrees two-theta, in order of rising 2θ)
29.74°, 3.004 Å, intensity 74
33.87°, 2.647 Å, intensity 38
34.25°, 2.618 Å, intensity 100
34.48°, 2.601 Å, intensity 63
34.96°, 2.567 Å, intensity 58
41.59°, 2.172 Å, intensity 49
53.73°, 1.706 Å, intensity 22
58.31°, 1.582 Å, intensity 34
61.69°, 1.504 Å, intensity 23
61.82°, 1.501 Å, intensity 43

Crystal structure
```
MgV2Zn4O8
1.0
5.196 -3.007 0.000
5.196 3.007 0.000
-3.409 0.000 5.294
Mg V Zn O
1 2 4 8
Direct
0.000 0.000 0.000 Mg
0.000 0.500 0.000 V
0.500 0.000 0.000 V
0.143 0.143 0.456 Zn
0.500 0.500 0.000 Zn
0.500 0.500 0.500 Zn
0.857 0.857 0.544 Zn
0.235 0.742 0.236 O
0.240 0.240 0.227 O
0.258 0.765 0.764 O
0.267 0.267 0.809 O
0.733 0.733 0.191 O
0.742 0.235 0.236 O
0.760 0.760 0.773 O
0.765 0.258 0.764 O
```